Entry 1:
Starting from a GGA-PBE-relaxed structure, the X-ray diffraction stick pattern of Pm3Er8Tm was simulated for Cu Kα (weighted mean of Kα1 and Kα2).
Neutral-atom scattering factors, no anomalous dispersion.

Largest 6 diffraction maxima, in order of rising 2θ, 2θ = 10–90°:
2theta	I_rel
31.53	52
31.90	100
32.12	68
35.96	41
51.88	22
66.67	25

Cell and atoms:
Cell lengths 8.5956, 8.5956, 8.5956 Å; angles 136.24, 98.60, 97.37 degrees
Positions (direct):
Pm  0.0000  0.0000  0.0000
Pm  0.2538  0.7538  0.5000
Pm  0.7462  0.2462  0.5000
Er  0.0827  0.2508  0.8319
Er  0.2560  0.2474  0.5034
Er  0.2560  0.7526  0.0087
Er  0.4189  0.2508  0.1681
Er  0.5811  0.7492  0.8319
Er  0.7440  0.2474  0.9913
Er  0.7440  0.7526  0.4966
Er  0.9173  0.7492  0.1681
Tm  0.5000  0.5000  0.0000

Entry 2:
Starting from a GGA-PBE-relaxed structure, the X-ray diffraction stick pattern of Sc4HgPb was simulated for Cu Kα (weighted mean of Kα1 and Kα2).
Neutral-atom scattering factors, no anomalous dispersion.

Largest 6 diffraction maxima, in order of rising 2θ, 2θ = 10–90°:
2theta	I_rel
18.34	42
30.17	89
35.54	100
53.59	37
57.12	34
62.73	23

Cell and atoms:
Cell lengths 5.9245, 5.9245, 5.9245 Å; angles 60.00, 60.00, 60.00 degrees
Positions (direct):
Sc  0.1253  0.1253  0.1253
Sc  0.1253  0.1253  0.6242
Sc  0.1253  0.6242  0.1253
Sc  0.6242  0.1253  0.1253
Hg  0.7500  0.7500  0.7500
Pb  0.5000  0.5000  0.5000